Entry 1:
Tb2Pr6Mg: computed X-ray diffraction stick pattern (copper Kα), based on a PBE-relaxed structure.
Neutral-atom scattering factors, no anomalous dispersion.

a b c (Å): 6.2288 9.5651 20.4442
angles (deg): 90.00 90.00 90.00
Space group Ibam (No. 72)
Asymmetric unit:
Tb (0.0545, 0.1710, 0.0000) x8
Pr (0.0000, 0.5000, 0.0809) x8
Pr (0.1000, 0.1755, 0.3289) x16
Mg (0.0000, 0.5000, 0.2500) x4

Top 10 peaks for 5° ≤ 2θ ≤ 70°, most intense first:
2θ (°)  I (rel.)  (hkl)
31.52  100  1 3 0
31.35  78  1 1 6
32.98  68  2 1 3
32.26  56  0 2 6
63.73  35  1 3 12
26.90  34  1 2 3
28.66  30  2 0 0
26.15  23  0 0 6
57.17  22  1 5 6
49.71  22  3 2 3



Entry 2:
CaTlFe2Si: computed X-ray diffraction stick pattern (copper Kα), based on a PBE-relaxed structure.
Neutral-atom scattering factors, no anomalous dispersion.

a b c (Å): 4.5236 4.5236 5.2783
angles (deg): 90.00 90.00 90.00
Space group P4/mmm (No. 123)
Asymmetric unit:
Ca (0.0000, 0.0000, 0.0000) x1
Tl (0.5000, 0.5000, 0.0000) x1
Fe (0.0000, 0.5000, 0.5000) x2
Si (0.5000, 0.5000, 0.5000) x1

Top 10 peaks for 5° ≤ 2θ ≤ 70°, most intense first:
2θ (°)  I (rel.)  (hkl)
32.74  100  1 1 1
19.62  55  1 0 0
39.86  40  2 0 0
53.34  33  2 0 2
33.97  31  0 0 2
25.94  26  1 0 1
67.88  23  3 1 1
39.53  19  1 0 2
60.01  17  1 1 3
27.89  16  1 1 0



Entry 3:
RbCBr3: computed X-ray diffraction stick pattern (copper Kα), based on a PBE-relaxed structure.
Neutral-atom scattering factors, no anomalous dispersion.

a b c (Å): 5.0573 5.0573 4.9761
angles (deg): 90.00 90.00 90.00
Space group P4/mmm (No. 123)
Asymmetric unit:
Rb (0.0000, 0.0000, 0.0000) x1
C (0.5000, 0.5000, 0.5000) x1
Br (0.0000, 0.5000, 0.5000) x2
Br (0.5000, 0.5000, 0.0000) x1

Top 8 peaks for 5° ≤ 2θ ≤ 70°, most intense first:
2θ (°)  I (rel.)  (hkl)
30.79  100  1 1 1
35.50  39  2 0 0
60.84  28  3 1 1
51.53  26  2 0 2
36.10  18  0 0 2
61.64  13  1 1 3
51.08  13  2 2 0
64.14  13  2 2 2



Entry 4:
Rb2PuTcN4: computed X-ray diffraction stick pattern (copper Kα), based on a PBE-relaxed structure.
Neutral-atom scattering factors, no anomalous dispersion.

a b c (Å): 6.4439 7.3131 7.1644
angles (deg): 90.00 90.00 90.00
Space group Pmmn (No. 59, origin choice 2)
Asymmetric unit:
Rb (0.2500, 0.0019, 0.2142) x4
Pu (0.2500, 0.2500, 0.6758) x2
Tc (0.2500, 0.7500, 0.6591) x2
N (0.0188, 0.7500, 0.5077) x4
N (0.2500, 0.5376, 0.7979) x4

Top 10 peaks for 5° ≤ 2θ ≤ 70°, most intense first:
2θ (°)  I (rel.)  (hkl)
30.76  100  1 2 1
27.69  47  2 0 0
28.51  36  1 0 2
50.93  25  3 2 1
24.86  25  0 0 2
53.97  24  2 2 3
12.35  23  0 0 1
37.55  22  2 0 2
18.52  21  1 0 1
27.38  19  0 2 1



Entry 5:
CeSb3Rh5: computed X-ray diffraction stick pattern (copper Kα), based on a PBE-relaxed structure.
Neutral-atom scattering factors, no anomalous dispersion.

a b c (Å): 3.9858 13.8789 13.2661
angles (deg): 90.00 90.00 90.00
Space group Cmcm (No. 63)
Asymmetric unit:
Ce (0.0000, 0.0974, 0.2500) x4
Sb (0.0000, 0.1329, 0.7500) x4
Sb (0.0000, 0.3777, 0.5389) x8
Rh (0.0000, 0.0000, 0.0000) x4
Rh (0.0000, 0.1962, 0.5672) x8
Rh (0.0000, 0.4597, 0.1474) x8

Top 10 peaks for 5° ≤ 2θ ≤ 70°, most intense first:
2θ (°)  I (rel.)  (hkl)
41.94  100  1 5 2
45.51  58  2 0 0
35.81  54  1 1 4
32.58  48  1 3 2
41.39  47  1 1 5
30.88  45  1 1 3
42.92  42  0 4 5
12.76  35  0 2 0
26.88  35  0 0 4
40.17  30  1 5 1



Entry 6:
Te: computed X-ray diffraction stick pattern (copper Kα), based on a PBE-relaxed structure.
Neutral-atom scattering factors, no anomalous dispersion.

a b c (Å): 6.6370 13.5011 22.5901
angles (deg): 90.00 90.00 90.00
Space group Fddd (No. 70, origin choice 2)
Asymmetric unit:
Te (0.1250, 0.1250, 0.3054) x16
Te (0.1250, 0.2616, 0.1250) x16

Top 10 peaks for 5° ≤ 2θ ≤ 70°, most intense first:
2θ (°)  I (rel.)  (hkl)
15.35  100  0 2 2
26.70  49  1 3 3
24.73  39  1 1 5
38.88  28  2 4 2
36.08  24  2 0 6
15.69  18  0 0 4
41.70  16  0 4 8
30.86  13  0 4 4
37.91  11  1 5 3
47.35  10  3 3 3



Entry 7:
SrLa2In: computed X-ray diffraction stick pattern (copper Kα), based on a PBE-relaxed structure.
Neutral-atom scattering factors, no anomalous dispersion.

a b c (Å): 5.0864 5.0864 10.6912
angles (deg): 90.00 90.00 90.00
Space group I-4m2 (No. 119)
Asymmetric unit:
Sr (0.0000, 0.0000, 0.0000) x2
La (0.0000, 0.0000, 0.5000) x2
La (0.0000, 0.5000, 0.2500) x2
In (0.0000, 0.5000, 0.7500) x2

Top 10 peaks for 5° ≤ 2θ ≤ 70°, most intense first:
2θ (°)  I (rel.)  (hkl)
29.94  100  1 1 2
35.29  32  2 0 0
60.07  27  3 1 2
49.47  24  2 0 4
33.53  19  0 0 4
57.74  15  1 1 6
62.22  12  2 2 4
50.77  11  2 2 0
19.32  3  1 0 1
30.63  1  1 0 3



Entry 8:
NpH3: computed X-ray diffraction stick pattern (copper Kα), based on a PBE-relaxed structure.
Neutral-atom scattering factors, no anomalous dispersion.

a b c (Å): 6.1155 6.1155 6.4042
angles (deg): 90.00 90.00 120.00
Space group P-3c1 (No. 165)
Asymmetric unit:
Np (0.0000, 0.3507, 0.2500) x6
H (0.0000, 0.0000, 0.2500) x2
H (0.9999, 0.3056, 0.5950) x12
H (0.3333, 0.6667, 0.0011) x4

Top 10 peaks for 5° ≤ 2θ ≤ 70°, most intense first:
2θ (°)  I (rel.)  (hkl)
32.45  100  1 1 1
27.86  33  0 0 2
52.26  28  1 1 3
59.82  23  3 0 2
29.21  22  1 1 0
40.80  18  1 1 2
51.78  18  3 0 0
62.45  15  2 2 1
57.57  5  0 0 4
65.85  5  1 1 4



Entry 9:
PuCd3Hg2: computed X-ray diffraction stick pattern (copper Kα), based on a PBE-relaxed structure.
Neutral-atom scattering factors, no anomalous dispersion.

a b c (Å): 14.9722 4.9073 9.3922
angles (deg): 90.00 121.68 90.00
Space group C2/m (No. 12)
Asymmetric unit:
Pu (0.1235, 0.0000, 0.1143) x4
Cd (0.0034, 0.0000, 0.3429) x4
Cd (0.1198, 0.5000, 0.6032) x4
Cd (0.2474, 0.5000, 0.4138) x4
Hg (0.0040, 0.5000, 0.8360) x4
Hg (0.2368, 0.0000, 0.8917) x4

Top 10 peaks for 5° ≤ 2θ ≤ 70°, most intense first:
2θ (°)  I (rel.)  (hkl)
34.14  100  3 1 -3
33.97  62  3 1 1
36.62  43  0 2 0
35.88  32  5 1 -1
35.99  24  6 0 -2
11.07  21  0 0 1
65.42  18  5 1 3
52.29  17  6 2 -2
32.09  17  2 0 2
64.36  16  3 3 -3



Entry 10:
CsCu4AsP: computed X-ray diffraction stick pattern (copper Kα), based on a PBE-relaxed structure.
Neutral-atom scattering factors, no anomalous dispersion.

a b c (Å): 11.1050 6.8996 8.1215
angles (deg): 90.00 105.26 90.00
Space group C2/m (No. 12)
Asymmetric unit:
Cs (0.0030, 0.0000, 0.2819) x4
Cu (0.0251, 0.5000, 0.8590) x4
Cu (0.1058, 0.5000, 0.6028) x4
Cu (0.1886, 0.3134, 0.1007) x8
As (0.1684, 0.5000, 0.3470) x4
P (0.2363, 0.5000, 0.8728) x4

Top 10 peaks for 5° ≤ 2θ ≤ 70°, most intense first:
2θ (°)  I (rel.)  (hkl)
28.14  100  3 1 0
25.83  92  0 2 0
30.83  66  2 2 0
39.23  52  3 1 -3
51.31  41  1 1 4
50.20  36  3 3 1
46.76  36  3 3 -1
28.27  35  0 2 1
57.36  35  6 2 -2
35.80  33  2 2 -2



Entry 11:
CsAlIn: computed X-ray diffraction stick pattern (copper Kα), based on a PBE-relaxed structure.
Neutral-atom scattering factors, no anomalous dispersion.

a b c (Å): 4.3221 4.9188 13.4600
angles (deg): 96.77 93.77 114.83
Space group P-1 (No. 2)
Asymmetric unit:
Cs (0.1325, 0.3654, 0.1884) x2
Al (0.3624, 0.7130, 0.5314) x2
In (0.0985, 0.1537, 0.6168) x2

Top 10 peaks for 5° ≤ 2θ ≤ 70°, most intense first:
2θ (°)  I (rel.)  (hkl)
6.67  100  0 0 1
22.36  72  0 1 -2
22.86  40  1 0 0
28.04  40  1 0 2
31.02  37  0 1 -4
30.88  35  0 1 3
26.90  31  -1 1 2
24.12  29  -1 1 1
37.19  24  1 -2 1
35.47  24  1 -1 4



Entry 12:
V2Fe3Pt2: computed X-ray diffraction stick pattern (copper Kα), based on a PBE-relaxed structure.
Neutral-atom scattering factors, no anomalous dispersion.

a b c (Å): 4.5371 4.5946 4.6810
angles (deg): 99.25 98.37 99.94
Space group P-1 (No. 2)
Asymmetric unit:
V (0.0947, 0.1591, 0.2900) x2
Fe (0.3623, 0.7346, 0.4268) x2
Fe (0.5000, 0.0000, 0.0000) x1
Pt (0.2123, 0.4215, 0.8401) x2

Top 10 peaks for 5° ≤ 2θ ≤ 70°, most intense first:
2θ (°)  I (rel.)  (hkl)
41.71  100  0 2 -1
41.18  93  1 1 1
41.33  92  1 0 -2
42.03  89  2 -1 0
48.30  77  -1 2 1
19.99  74  0 1 0
47.53  61  1 -1 2
49.28  55  2 1 -1
25.22  48  0 1 -1
32.44  33  -1 1 1